Entry 1:
Computed powder XRD pattern
Compound: ZrTi4N6
Radiation: Cu Kα
Structure: a structure optimized by DFT (PBE)
Kinematic intensities with the Lorentz-polarization factor, no thermal factor.

Structural model:
```
data_ZrTi4N6
_symmetry_space_group_name_H-M 'P 1'
_symmetry_Int_Tables_number 1
_cell_length_a 5.1650
_cell_length_b 5.1650
_cell_length_c 15.2526
_cell_angle_alpha 90.00
_cell_angle_beta 90.00
_cell_angle_gamma 146.33
loop_
_symmetry_equiv_pos_as_xyz
'x,y,z'
loop_
_atom_site_label
_atom_site_type_symbol
_atom_site_fract_x
_atom_site_fract_y
_atom_site_fract_z
Zr1 Zr 0.1510 0.8490 0.7500
Zr2 Zr 0.8490 0.1510 0.2500
Ti1 Ti 0.1015 0.8985 0.1326
Ti2 Ti 0.1015 0.8985 0.3674
Ti3 Ti 0.3652 0.6348 0.0455
Ti4 Ti 0.3652 0.6348 0.4545
Ti5 Ti 0.6348 0.3652 0.5455
Ti6 Ti 0.6348 0.3652 0.9545
Ti7 Ti 0.8985 0.1015 0.6326
Ti8 Ti 0.8985 0.1015 0.8674
N1 N 0.0000 0.0000 0.0000
N2 N 0.0000 0.0000 0.5000
N3 N 0.1862 0.8138 0.2500
N4 N 0.2687 0.7313 0.5856
N5 N 0.2687 0.7313 0.9144
N6 N 0.4598 0.5402 0.1626
N7 N 0.4598 0.5402 0.3374
N8 N 0.5402 0.4598 0.6626
N9 N 0.5402 0.4598 0.8374
N10 N 0.7313 0.2687 0.0856
N11 N 0.7313 0.2687 0.4144
N12 N 0.8138 0.1862 0.7500
```

Principal peaks in the range 10° ≤ 2θ ≤ 80°, by angle:
2θ (°)  I (rel.)
33.42  36
34.55  100
36.00  50
36.35  29
42.49  76
44.62  38
58.13  26
58.85  21
61.25  24
72.99  20

=====

Entry 2:
Computed powder XRD pattern
Compound: ScReBi2O8
Radiation: Cu Kα
Structure: a structure optimized by DFT (PBE)
Kinematic intensities with the Lorentz-polarization factor, no thermal factor.

Structural model:
```
data_ScReBi2O8
_symmetry_space_group_name_H-M 'P 1'
_symmetry_Int_Tables_number 1
_cell_length_a 5.1512
_cell_length_b 6.5693
_cell_length_c 5.1609
_cell_angle_alpha 90.00
_cell_angle_beta 90.53
_cell_angle_gamma 90.00
loop_
_symmetry_equiv_pos_as_xyz
'x,y,z'
loop_
_atom_site_label
_atom_site_type_symbol
_atom_site_fract_x
_atom_site_fract_y
_atom_site_fract_z
Sc1 Sc 0.0000 0.0000 0.0000
Re1 Re 0.0000 0.5000 0.0000
Bi1 Bi 0.5000 0.2484 0.5000
Bi2 Bi 0.5000 0.7516 0.5000
O1 O 0.1770 0.2781 0.8281
O2 O 0.1770 0.7219 0.8281
O3 O 0.2527 0.5000 0.2595
O4 O 0.2875 0.0000 0.2908
O5 O 0.7125 0.0000 0.7092
O6 O 0.7473 0.5000 0.7405
O7 O 0.8230 0.2781 0.1719
O8 O 0.8230 0.7219 0.1719
```

Principal peaks in the range 10° ≤ 2θ ≤ 80°, by angle:
2θ (°)  I (rel.)
17.20  15
21.91  17
24.30  64
24.53  57
32.32  100
34.80  33
48.09  44
48.35  37
56.61  12
60.78  12

=====

Entry 3:
Computed powder XRD pattern
Compound: Nd2Fe5C4
Radiation: Cu Kα
Structure: a structure optimized by DFT (PBE)
Kinematic intensities with the Lorentz-polarization factor, no thermal factor.

Structural model:
```
data_Nd2Fe5C4
_symmetry_space_group_name_H-M 'P 1'
_symmetry_Int_Tables_number 1
_cell_length_a 7.0078
_cell_length_b 5.7346
_cell_length_c 5.3755
_cell_angle_alpha 78.14
_cell_angle_beta 53.21
_cell_angle_gamma 48.65
loop_
_symmetry_equiv_pos_as_xyz
'x,y,z'
loop_
_atom_site_label
_atom_site_type_symbol
_atom_site_fract_x
_atom_site_fract_y
_atom_site_fract_z
Nd1 Nd 0.1477 0.1477 0.8523
Nd2 Nd 0.8523 0.8523 0.1477
Fe1 Fe 0.0000 0.0000 0.5000
Fe2 Fe 0.2500 0.2500 0.2500
Fe3 Fe 0.5000 0.5000 0.0000
Fe4 Fe 0.5000 0.5000 0.5000
Fe5 Fe 0.7500 0.7500 0.7500
C1 C 0.2060 0.5351 0.4649
C2 C 0.4649 0.7940 0.2060
C3 C 0.5351 0.2060 0.7940
C4 C 0.7940 0.4649 0.5351
```

Principal peaks in the range 10° ≤ 2θ ≤ 80°, by angle:
2θ (°)  I (rel.)
21.76  26
32.94  100
37.88  55
39.81  49
40.56  91
42.79  64
50.70  31
58.46  20
65.00  22
70.23  20

=====

Entry 4:
Computed powder XRD pattern
Compound: Tb2Sm3Sc3
Radiation: Cu Kα
Structure: a structure optimized by DFT (PBE)
Kinematic intensities with the Lorentz-polarization factor, no thermal factor.

Structural model:
```
data_Tb2Sm3Sc3
_symmetry_space_group_name_H-M 'P 1'
_symmetry_Int_Tables_number 1
_cell_length_a 10.4826
_cell_length_b 10.4826
_cell_length_c 10.4826
_cell_angle_alpha 153.36
_cell_angle_beta 152.63
_cell_angle_gamma 38.57
loop_
_symmetry_equiv_pos_as_xyz
'x,y,z'
loop_
_atom_site_label
_atom_site_type_symbol
_atom_site_fract_x
_atom_site_fract_y
_atom_site_fract_z
Tb1 Tb 0.2482 0.2482 0.0000
Tb2 Tb 0.7518 0.7518 0.0000
Sm1 Sm 0.0000 0.0000 0.0000
Sm2 Sm 0.3784 0.8784 0.5000
Sm3 Sm 0.6216 0.1216 0.5000
Sc1 Sc 0.1241 0.6241 0.5000
Sc2 Sc 0.5000 0.5000 0.0000
Sc3 Sc 0.8759 0.3759 0.5000
```

Principal peaks in the range 10° ≤ 2θ ≤ 80°, by angle:
2θ (°)  I (rel.)
18.91  14
31.55  100
36.22  17
36.32  17
37.24  16
52.23  12
52.96  23
62.24  14
62.38  14
63.61  13

=====

Entry 5:
Computed powder XRD pattern
Compound: Tb12AlNi6
Radiation: Cu Kα
Structure: a structure optimized by DFT (PBE)
Kinematic intensities with the Lorentz-polarization factor, no thermal factor.

Structural model:
```
data_Tb12AlNi6
_symmetry_space_group_name_H-M 'P 1'
_symmetry_Int_Tables_number 1
_cell_length_a 8.4107
_cell_length_b 8.4107
_cell_length_c 8.4107
_cell_angle_alpha 109.47
_cell_angle_beta 109.47
_cell_angle_gamma 109.47
loop_
_symmetry_equiv_pos_as_xyz
'x,y,z'
loop_
_atom_site_label
_atom_site_type_symbol
_atom_site_fract_x
_atom_site_fract_y
_atom_site_fract_z
Tb1 Tb 0.1159 0.8138 0.3021
Tb2 Tb 0.1862 0.3021 0.4884
Tb3 Tb 0.1862 0.6979 0.8841
Tb4 Tb 0.3021 0.1159 0.8138
Tb5 Tb 0.3021 0.4884 0.1862
Tb6 Tb 0.4884 0.1862 0.3021
Tb7 Tb 0.5116 0.8138 0.6979
Tb8 Tb 0.6979 0.5116 0.8138
Tb9 Tb 0.6979 0.8841 0.1862
Tb10 Tb 0.8138 0.3021 0.1159
Tb11 Tb 0.8138 0.6979 0.5116
Tb12 Tb 0.8841 0.1862 0.6979
Al1 Al 0.0000 0.0000 0.0000
Ni1 Ni 0.1236 0.6236 0.5000
Ni2 Ni 0.3764 0.5000 0.8764
Ni3 Ni 0.5000 0.1236 0.6236
Ni4 Ni 0.5000 0.8764 0.3764
Ni5 Ni 0.6236 0.5000 0.1236
Ni6 Ni 0.8764 0.3764 0.5000
```

Principal peaks in the range 10° ≤ 2θ ≤ 80°, by angle:
2θ (°)  I (rel.)
25.95  14
29.08  42
31.92  36
34.56  100
37.03  14
47.75  18
55.14  37
56.89  14
58.59  33
68.29  16